Diffraction record for Ce4NpP5. The X-ray diffraction stick pattern is theoretical, not measured: it uses a DFT-relaxed cell (GGA-PBE, Alexandria) and Cu Kα X-rays.
Kinematic intensities with the Lorentz-polarization factor, no thermal factor.

Most intense lines, 15 to 90 degrees two-theta, in order of rising 2θ:
2theta	Rel. int.
26.85	87
31.10	100
44.56	74
52.79	43
55.34	26
64.85	12
71.51	17
73.67	33
82.10	25
88.30	14

Structure:
a b c (Å): 7.044 7.044 7.044
angles (deg): 99.58 99.58 131.84
Sites, in units of the cell vectors:
Ce 0.098 0.300 0.398
Ce 0.300 0.902 0.202
Ce 0.700 0.098 0.798
Ce 0.902 0.700 0.602
Np 0.500 0.500 0.000
P 0.000 0.000 0.000
P 0.205 0.598 0.803
P 0.402 0.205 0.606
P 0.598 0.795 0.394
P 0.795 0.402 0.197

Diffraction record for K6Pd3Br4Cl8. The X-ray diffraction stick pattern is theoretical, not measured: it uses a DFT-relaxed cell (GGA-PBE, Alexandria) and Cu Kα X-rays.
Kinematic intensities with the Lorentz-polarization factor, no thermal factor.

Most intense lines, 15 to 90 degrees two-theta, in order of rising 2θ:
2theta	Rel. int.
20.87	79
24.24	66
26.80	100
32.43	55
33.62	57
36.32	51
42.47	32
45.71	45
50.33	34
67.91	26

Structure:
a b c (Å): 4.257 16.741 16.741
angles (deg): 145.62 90.00 90.00
Sites, in units of the cell vectors:
K 0.000 0.084 0.916
K 0.000 0.260 0.751
K 0.000 0.413 0.587
K 0.000 0.587 0.413
K 0.000 0.751 0.260
K 0.000 0.916 0.084
Pd 0.500 0.084 0.419
Pd 0.500 0.419 0.084
Pd 0.500 0.749 0.749
Br 0.500 0.172 0.835
Br 0.500 0.500 0.500
Br 0.500 0.835 0.172
Br 0.500 0.999 0.999
Cl 0.500 0.013 0.495
Cl 0.500 0.155 0.344
Cl 0.500 0.323 0.656
Cl 0.500 0.344 0.155
Cl 0.500 0.495 0.013
Cl 0.500 0.656 0.323
Cl 0.500 0.676 0.822
Cl 0.500 0.822 0.676